# 1
Rb4Nd3NpO8: theoretical powder X-ray diffraction pattern (Cu Kα), based on a GGA-PBE-relaxed structure.

Top 10 peaks for 2θ = 5–70°, in order of falling intensity:
2theta  d_spacing  Rel. int.
33.62  2.666  100
29.66  3.012  85
26.95  3.308  40
46.54  1.952  36
13.38  6.616  34
49.98  1.825  33
57.70  1.598  30
54.60  1.681  20
61.59  1.506  17
59.20  1.561  13

Atomic structure:
abc: 7.8439 7.8439 7.8439
angles: 55.46 55.46 55.46
Element x y z (fractional)
Rb 0.0000 0.0000 0.0000
Rb 0.0000 0.5000 0.5000
Rb 0.5000 0.0000 0.5000
Rb 0.5000 0.5000 0.0000
Nd 0.0000 0.0000 0.5000
Nd 0.0000 0.5000 0.0000
Nd 0.5000 0.0000 0.0000
Np 0.5000 0.5000 0.5000
O 0.2268 0.2268 0.2268
O 0.2358 0.7219 0.7219
O 0.2781 0.2781 0.7642
O 0.2781 0.7642 0.2781
O 0.7219 0.2358 0.7219
O 0.7219 0.7219 0.2358
O 0.7642 0.2781 0.2781
O 0.7732 0.7732 0.7732



# 2
TbNd2NpO8: theoretical powder X-ray diffraction pattern (Cu Kα), based on a GGA-PBE-relaxed structure.

Top 10 peaks for 2θ = 5–70°, in order of falling intensity:
2theta  d_spacing  Rel. int.
28.54  3.128  100
26.78  3.329  59
28.88  3.092  49
48.06  1.893  48
32.82  2.728  46
45.40  1.998  39
32.36  2.767  24
46.20  1.965  18
54.01  1.698  17
55.39  1.659  16

Atomic structure:
abc: 3.9418 7.5827 5.5507
angles: 90.00 94.49 90.00
Element x y z (fractional)
Tb 0.0000 0.0000 0.0000
Nd 0.5000 0.2424 0.5000
Nd 0.5000 0.7576 0.5000
Np 0.0000 0.5000 0.0000
O 0.0331 0.2798 0.7711
O 0.0331 0.7202 0.7711
O 0.4455 0.5000 0.2160
O 0.4963 0.0000 0.2465
O 0.5037 0.0000 0.7535
O 0.5545 0.5000 0.7840
O 0.9669 0.2798 0.2289
O 0.9669 0.7202 0.2289



# 3
Nd5NpP6: theoretical powder X-ray diffraction pattern (Cu Kα), based on a GGA-PBE-relaxed structure.

Top 10 peaks for 2θ = 5–70°, in order of falling intensity:
2theta  d_spacing  Rel. int.
30.63  2.919  100
26.44  3.371  86
43.86  2.064  74
51.94  1.760  43
54.44  1.685  26
63.76  1.460  12
14.96  5.922  2
16.79  5.281  2
13.13  6.740  2
19.47  4.560  1

Atomic structure:
abc: 7.1508 7.1508 7.1496
angles: 99.60 99.60 119.99
Element x y z (fractional)
Nd 0.0000 0.0000 0.0000
Nd 0.1661 0.8339 0.5000
Nd 0.3312 0.6688 0.0000
Nd 0.6688 0.3312 0.0000
Nd 0.8339 0.1661 0.5000
Np 0.5000 0.5000 0.5000
P 0.0971 0.4191 0.2568
P 0.2597 0.2597 0.7431
P 0.4191 0.0971 0.2568
P 0.5809 0.9029 0.7432
P 0.7403 0.7403 0.2569
P 0.9029 0.5809 0.7432



# 4
NdNp2P3: theoretical powder X-ray diffraction pattern (Cu Kα), based on a GGA-PBE-relaxed structure.

Top 10 peaks for 2θ = 5–70°, in order of falling intensity:
2theta  d_spacing  Rel. int.
27.13  3.286  100
31.43  2.846  97
45.05  2.013  72
53.38  1.716  50
55.96  1.643  25
65.60  1.423  12
13.96  6.343  5
22.85  3.891  2
17.22  5.150  1
26.22  3.399  1

Atomic structure:
abc: 13.3456 12.7235 6.9733
angles: 79.48 69.61 30.91
Element x y z (fractional)
Nd 0.0419 0.0419 0.2081
Nd 0.2081 0.2081 0.0419
Nd 0.7919 0.7919 0.9581
Nd 0.9581 0.9581 0.7919
Np 0.1237 0.1237 0.6263
Np 0.2904 0.2904 0.4596
Np 0.3737 0.3737 0.8763
Np 0.4596 0.4596 0.2904
Np 0.5404 0.5404 0.7096
Np 0.6263 0.6263 0.1237
Np 0.7096 0.7096 0.5404
Np 0.8763 0.8763 0.3737
P 0.0437 0.5444 0.2185
P 0.1382 0.6118 0.6118
P 0.2185 0.6934 0.0437
P 0.3066 0.7815 0.4556
P 0.3882 0.8618 0.8618
P 0.4556 0.9563 0.3066
P 0.5444 0.0437 0.6934
P 0.6118 0.1382 0.1382
P 0.6934 0.2185 0.5444
P 0.7815 0.3066 0.9563
P 0.8618 0.3882 0.3882
P 0.9563 0.4556 0.7815



# 5
Nd2ThNpP4: theoretical powder X-ray diffraction pattern (Cu Kα), based on a GGA-PBE-relaxed structure.

Top 10 peaks for 2θ = 5–70°, in order of falling intensity:
2theta  d_spacing  Rel. int.
30.74  2.909  100
26.54  3.359  97
43.99  2.058  50
52.11  1.755  29
44.09  2.054  25
52.19  1.753  20
54.70  1.678  20
64.02  1.454  12
13.15  6.732  9
54.52  1.683  7

Atomic structure:
abc: 7.1129 4.1116 7.1388
angles: 90.00 109.44 90.00
Element x y z (fractional)
Nd 0.0000 0.0000 0.0000
Nd 0.5000 0.5000 0.0000
Th 0.0000 0.5000 0.5000
Np 0.5000 0.0000 0.5000
P 0.2528 0.0000 0.7424
P 0.2601 0.5000 0.2622
P 0.7399 0.5000 0.7378
P 0.7472 0.0000 0.2576



# 6
NdNp3S4: theoretical powder X-ray diffraction pattern (Cu Kα), based on a GGA-PBE-relaxed structure.

Top 10 peaks for 2θ = 5–70°, in order of falling intensity:
2theta  d_spacing  Rel. int.
27.67  3.223  100
32.06  2.792  100
45.96  1.975  61
54.51  1.683  50
57.09  1.613  13
57.21  1.610  13
46.05  1.971  12
67.05  1.396  12
13.72  6.454  4
26.49  3.365  2

Atomic structure:
abc: 6.8410 6.8410 3.9422
angles: 90.00 90.00 109.38
Element x y z (fractional)
Nd 0.0000 0.0000 0.0000
Np 0.0000 0.5000 0.5000
Np 0.5000 0.0000 0.5000
Np 0.5000 0.5000 0.0000
S 0.2560 0.7440 0.0000
S 0.2606 0.2606 0.5000
S 0.7394 0.7394 0.5000
S 0.7440 0.2560 0.0000